1.
# Li2CoBO4
Computed powder diffraction line list, Cu Ka. Input: a DFT-relaxed cell (PBE+U, the Materials Project).
Intensities are scaled so that the largest is 100.

Crystal structure
Cell: 6.996 7.218 6.035 Å, 90.00 90.00 90.00°
Space group C222_1 (No. 20)
Inequivalent atoms, fractional coordinates:
Li1 0.000 0.193 0.250 [4 per cell]
Li2 0.173 0.500 0.500 [4 per cell]
Co1 0.000 0.182 0.750 [4 per cell]
B1 0.185 0.500 0.000 [4 per cell]
O1 0.056 0.334 0.989 [8 per cell]
O2 0.197 0.009 0.706 [8 per cell]

Most intense lines, 10 to 80 degrees two-theta, sorted by position:
| 2theta | I/Imax |
| --- | --- |
| 23.0 | 100 |
| 25.5 | 19 |
| 28.8 | 17 |
| 29.6 | 12 |
| 34.7 | 34 |
| 35.7 | 39 |
| 38.8 | 14 |
| 43.5 | 14 |
| 50.2 | 21 |
| 63.5 | 18 |

2.
# Li2CoBO4
Computed powder diffraction line list, Cu Ka. Input: a DFT-relaxed cell (PBE+U, the Materials Project).
Intensities are scaled so that the largest is 100.

Crystal structure
Cell: 7.007 7.146 6.163 Å, 90.00 90.88 90.00°
Space group C2/m (No. 12)
Inequivalent atoms, fractional coordinates:
Li1 0.000 0.179 0.000 [4 per cell]
Li2 0.177 0.500 0.780 [4 per cell]
Co1 0.000 0.199 0.500 [4 per cell]
B1 0.187 0.500 0.247 [4 per cell]
O1 0.057 0.331 0.259 [8 per cell]
O2 0.192 0.000 0.537 [4 per cell]
O3 0.203 0.000 0.940 [4 per cell]

Most intense lines, 10 to 80 degrees two-theta, sorted by position:
| 2theta | I/Imax |
| --- | --- |
| 14.4 | 100 |
| 22.8 | 30 |
| 25.4 | 25 |
| 28.9 | 38 |
| 29.5 | 32 |
| 34.0 | 17 |
| 34.4 | 19 |
| 35.9 | 62 |
| 39.0 | 18 |
| 50.0 | 12 |

3.
# Mg14CoBO16
Computed powder diffraction line list, Cu Ka. Input: a DFT-relaxed cell (PBE+U, the Materials Project).
Intensities are scaled so that the largest is 100.

Crystal structure
Cell: 8.419 8.419 4.265 Å, 90.00 90.00 90.00°
Space group P4/mmm (No. 123)
Inequivalent atoms, fractional coordinates:
Mg1 0.000 0.242 0.000 [4 per cell]
Mg2 0.000 0.500 0.500 [2 per cell]
Mg3 0.252 0.252 0.500 [4 per cell]
Mg4 0.255 0.500 0.000 [4 per cell]
Co1 0.500 0.500 0.500 [1 per cell]
B1 0.000 0.000 0.500 [1 per cell]
O1 0.000 0.000 0.000 [1 per cell]
O2 0.000 0.207 0.500 [4 per cell]
O3 0.000 0.500 0.000 [2 per cell]
O4 0.231 0.500 0.500 [4 per cell]
O5 0.249 0.249 0.000 [4 per cell]
O6 0.500 0.500 0.000 [1 per cell]

Most intense lines, 10 to 80 degrees two-theta, sorted by position:
| 2theta | I/Imax |
| --- | --- |
| 10.5 | 10 |
| 14.9 | 5 |
| 36.8 | 23 |
| 42.4 | 56 |
| 43.0 | 100 |
| 44.2 | 6 |
| 61.9 | 57 |
| 62.4 | 26 |
| 74.7 | 11 |
| 78.3 | 24 |

4.
# Mg14CoBO16
Computed powder diffraction line list, Cu Ka. Input: a DFT-relaxed cell (PBE+U, the Materials Project).
Intensities are scaled so that the largest is 100.

Crystal structure
Cell: 4.262 8.426 8.564 Å, 90.00 90.00 90.00°
Space group Pmmm (No. 47)
Inequivalent atoms, fractional coordinates:
Mg1 0.000 0.000 0.000 [1 per cell]
Mg2 0.000 0.245 0.249 [4 per cell]
Mg3 0.000 0.500 0.000 [1 per cell]
Mg4 0.500 0.000 0.252 [2 per cell]
Mg5 0.500 0.241 0.500 [2 per cell]
Mg6 0.500 0.250 0.000 [2 per cell]
Mg7 0.500 0.500 0.254 [2 per cell]
Co1 0.000 0.500 0.500 [1 per cell]
B1 0.000 0.000 0.500 [1 per cell]
O1 0.000 0.000 0.237 [2 per cell]
O2 0.000 0.165 0.500 [2 per cell]
O3 0.000 0.254 0.000 [2 per cell]
O4 0.000 0.500 0.254 [2 per cell]
O5 0.500 0.000 0.000 [1 per cell]
O6 0.500 0.000 0.500 [1 per cell]
O7 0.500 0.251 0.255 [4 per cell]
O8 0.500 0.500 0.000 [1 per cell]
O9 0.500 0.500 0.500 [1 per cell]

Most intense lines, 10 to 80 degrees two-theta, sorted by position:
| 2theta | I/Imax |
| --- | --- |
| 36.6 | 44 |
| 42.2 | 100 |
| 42.4 | 99 |
| 42.9 | 82 |
| 61.4 | 56 |
| 61.8 | 47 |
| 61.9 | 47 |
| 73.5 | 9 |
| 74.5 | 11 |
| 77.8 | 43 |

5.
# MnCoB2O5
Computed powder diffraction line list, Cu Ka. Input: a DFT-relaxed cell (PBE+U, the Materials Project).
Intensities are scaled so that the largest is 100.

Crystal structure
Cell: 3.257 6.260 9.516 Å, 104.39 90.33 91.31°
Space group P-1 (No. 2)
Inequivalent atoms, fractional coordinates:
Mn1 0.247 0.216 0.362 [2 per cell]
Co1 0.265 0.627 0.901 [2 per cell]
B1 0.172 0.120 0.834 [2 per cell]
B2 0.182 0.680 0.347 [2 per cell]
O1 0.043 0.858 0.294 [2 per cell]
O2 0.225 0.477 0.251 [2 per cell]
O3 0.239 0.303 0.947 [2 per cell]
O4 0.257 0.719 0.492 [2 per cell]
O5 0.287 0.909 0.822 [2 per cell]

Most intense lines, 10 to 80 degrees two-theta, sorted by position:
| 2theta | I/Imax |
| --- | --- |
| 14.6 | 21 |
| 19.4 | 89 |
| 29.1 | 21 |
| 29.5 | 21 |
| 31.0 | 44 |
| 33.5 | 100 |
| 33.9 | 59 |
| 44.2 | 40 |
| 45.3 | 29 |
| 46.2 | 26 |

6.
# Na3CoB2O6
Computed powder diffraction line list, Cu Ka. Input: a DFT-relaxed cell (PBE+U, the Materials Project).
Intensities are scaled so that the largest is 100.

Crystal structure
Cell: 5.541 9.530 11.507 Å, 90.00 114.64 90.00°
Space group P2_1/c (No. 14)
Inequivalent atoms, fractional coordinates:
Na1 0.005 0.028 0.345 [4 per cell]
Na2 0.040 0.164 0.877 [4 per cell]
Na3 0.424 0.509 0.612 [4 per cell]
Co1 0.478 0.173 0.625 [4 per cell]
B1 0.050 0.687 0.381 [4 per cell]
B2 0.474 0.652 0.130 [4 per cell]
O1 0.153 0.693 0.848 [4 per cell]
O2 0.169 0.560 0.387 [4 per cell]
O3 0.176 0.201 0.095 [4 per cell]
O4 0.371 0.173 0.436 [4 per cell]
O5 0.388 0.738 0.681 [4 per cell]
O6 0.402 0.514 0.149 [4 per cell]

Most intense lines, 10 to 80 degrees two-theta, sorted by position:
| 2theta | I/Imax |
| --- | --- |
| 17.6 | 31 |
| 18.6 | 22 |
| 19.4 | 35 |
| 20.9 | 38 |
| 32.4 | 30 |
| 32.5 | 69 |
| 34.3 | 100 |
| 35.7 | 29 |
| 36.3 | 28 |
| 50.6 | 27 |

7.
# Co3BO5
Computed powder diffraction line list, Cu Ka. Input: a DFT-relaxed cell (PBE+U, the Materials Project).
Intensities are scaled so that the largest is 100.

Crystal structure
Cell: 9.368 12.044 2.993 Å, 90.00 90.00 90.00°
Space group Pbam (No. 55)
Inequivalent atoms, fractional coordinates:
Co1 0.000 0.000 0.000 [2 per cell]
Co2 0.000 0.500 0.500 [2 per cell]
Co3 0.004 0.223 0.500 [4 per cell]
Co4 0.242 0.612 0.000 [4 per cell]
B1 0.236 0.361 0.000 [4 per cell]
O1 0.116 0.643 0.500 [4 per cell]
O2 0.118 0.859 0.000 [4 per cell]
O3 0.124 0.080 0.500 [4 per cell]
O4 0.158 0.460 0.000 [4 per cell]
O5 0.161 0.261 0.000 [4 per cell]

Most intense lines, 10 to 80 degrees two-theta, sorted by position:
| 2theta | I/Imax |
| --- | --- |
| 17.5 | 64 |
| 32.3 | 28 |
| 35.4 | 100 |
| 35.6 | 80 |
| 38.7 | 42 |
| 42.5 | 40 |
| 44.6 | 31 |
| 47.8 | 38 |
| 58.7 | 28 |
| 63.1 | 29 |